Starting from a crystal structure in the Materials Project, relaxed with GGA+U, the powder XRD pattern of Mg2SbWO6 was simulated for CuKα.
Intensities are scaled so that the largest is 100.

Atomic structure:
Unit cell a=5.5143 b=7.9506 c=5.5261 alpha=90.00 beta=93.78 gamma=90.00
Space group P2_1/m (No. 11)
Symmetry-distinct sites (fractional):
Mg: 0.0287 0.2500 0.0191 (multiplicity 2)
Mg: 0.4541 0.7500 0.5028 (multiplicity 2)
Sb: 0.5000 0.0000 0.0000 (multiplicity 2)
W: 0.0000 0.0000 0.5000 (multiplicity 2)
O: 0.0890 0.7500 0.6321 (multiplicity 2)
O: 0.1555 0.5752 0.1912 (multiplicity 4)
O: 0.3153 0.0720 0.6311 (multiplicity 4)
O: 0.3930 0.2500 0.1434 (multiplicity 2)

Peak list (10 most intense, 15 to 90 degrees two-theta, by angle)
Position (°2θ)	Rel. int.
22.06	71
22.36	74
23.58	66
31.61	100
32.51	91
32.73	90
39.82	55
56.73	51
57.15	45
58.83	43

Starting from a crystal structure in the Materials Project, relaxed with GGA+U, the powder XRD pattern of MgTi4MnZnNiO12 was simulated for CuKα.
Intensities are scaled so that the largest is 100.

Atomic structure:
Unit cell a=5.1264 b=5.5628 c=8.8818 alpha=105.32 beta=90.03 gamma=117.41
Space group P1 (No. 1)
Symmetry-distinct sites (fractional):
Mg: 0.0000 0.0000 0.0000 (multiplicity 1)
Ti: 0.1815 0.3728 0.3912 (multiplicity 1)
Ti: 0.2526 0.5049 0.7520 (multiplicity 1)
Ti: 0.6886 0.3705 0.8935 (multiplicity 1)
Ti: 0.7496 0.5029 0.2438 (multiplicity 1)
Mn: 0.9294 0.8619 0.6392 (multiplicity 1)
Zn: 0.5081 0.0186 0.4979 (multiplicity 1)
Ni: 0.4421 0.8840 0.1452 (multiplicity 1)
O: 0.0086 0.6753 0.8016 (multiplicity 1)
O: 0.0289 0.6694 0.4261 (multiplicity 1)
O: 0.4114 0.2052 0.7088 (multiplicity 1)
O: 0.4253 0.1964 0.3435 (multiplicity 1)
O: 0.4611 0.1963 0.0381 (multiplicity 1)
O: 0.4606 0.6708 0.6010 (multiplicity 1)
O: 0.5043 0.6714 0.2917 (multiplicity 1)
O: 0.5331 0.6777 0.9347 (multiplicity 1)
O: 0.9014 0.1939 0.2069 (multiplicity 1)
O: 0.9322 0.2006 0.8478 (multiplicity 1)
O: 0.9606 0.2023 0.5385 (multiplicity 1)
O: 0.9763 0.6756 0.1009 (multiplicity 1)

Peak list (10 most intense, 15 to 90 degrees two-theta, by angle)
Position (°2θ)	Rel. int.
23.66	29
32.37	100
35.00	66
40.05	16
48.41	39
52.75	41
55.99	10
61.12	29
62.78	33
69.79	12